The following is a theoretical powder diffraction line list of La3AlZnS7. It was derived from a structure optimized by DFT (PBE), using Cu Kα, 1.54184 Å.

Peak list (6 most intense, 2θ = 5–70°, by angle)
22.80 deg, d = 3.901 Å, I 52
24.92 deg, d = 3.573 Å, I 100
26.48 deg, d = 3.366 Å, I 56
36.15 deg, d = 2.485 Å, I 53
39.47 deg, d = 2.283 Å, I 64
40.31 deg, d = 2.237 Å, I 44

Atomic structure:
```
La3AlZnS7
1.0
10.283 0.000 0.000
-5.141 8.905 0.000
0.000 0.000 5.989
La Al Zn S
6 2 2 14
Cartesian
-0.580 3.312 0.000 La
-1.983 7.752 0.000 La
2.578 2.158 2.994 La
2.564 6.747 0.000 La
7.125 1.153 2.994 La
5.722 5.594 2.994 La
0.000 5.937 2.507 Al
5.141 2.968 5.501 Al
0.000 0.000 1.551 Zn
0.000 0.000 4.546 Zn
-0.371 2.075 3.063 S
-1.955 5.245 1.611 S
-3.159 8.189 3.063 S
1.612 1.359 0.068 S
0.000 5.937 4.724 S
1.576 4.590 1.611 S
0.378 7.975 1.611 S
4.763 0.930 4.606 S
3.565 4.315 4.606 S
5.141 2.968 1.730 S
3.530 7.547 3.063 S
8.300 0.716 0.068 S
7.096 3.660 4.606 S
5.512 6.830 0.068 S
```

***

The following is a theoretical powder diffraction line list of CaBiB. It was derived from a structure optimized by DFT (PBE), using Cu Kα, 1.54184 Å.

Peak list (6 most intense, 2θ = 5–70°, by angle)
22.30 deg, d = 3.987 Å, I 100
25.80 deg, d = 3.453 Å, I 39
36.81 deg, d = 2.442 Å, I 69
43.46 deg, d = 2.082 Å, I 56
58.23 deg, d = 1.584 Å, I 24
66.31 deg, d = 1.410 Å, I 25

Atomic structure:
```
CaBiB
1.0
0.000 3.453 3.453
3.453 0.000 3.453
3.453 3.453 0.000
Ca Bi B
1 1 1
Cartesian
0.000 0.000 0.000 Ca
1.726 1.726 1.726 Bi
5.179 5.179 5.179 B
```

***

The following is a theoretical powder diffraction line list of TbOF. It was derived from a structure optimized by DFT (PBE), using Cu Kα, 1.54184 Å.

Peak list (6 most intense, 2θ = 5–70°, by angle)
27.86 deg, d = 3.202 Å, I 30
28.38 deg, d = 3.145 Å, I 100
32.73 deg, d = 2.736 Å, I 38
46.64 deg, d = 1.947 Å, I 32
47.30 deg, d = 1.922 Å, I 37
55.79 deg, d = 1.648 Å, I 27

Atomic structure:
```
TbOF
1.0
1.922 1.110 6.404
-1.922 1.110 6.404
0.000 -2.219 6.404
Tb O F
2 2 2
Cartesian
0.000 0.000 4.630 Tb
0.000 0.000 14.581 Tb
0.000 0.000 2.343 O
0.000 0.000 16.868 O
0.000 0.000 7.111 F
0.000 0.000 12.100 F
```

***

The following is a theoretical powder diffraction line list of MgSi2. It was derived from a structure optimized by DFT (PBE), using Cu Kα, 1.54184 Å.

Peak list (6 most intense, 2θ = 5–70°, by angle)
34.56 deg, d = 2.595 Å, I 86
36.00 deg, d = 2.495 Å, I 81
37.30 deg, d = 2.411 Å, I 77
40.31 deg, d = 2.237 Å, I 100
47.78 deg, d = 1.904 Å, I 70
55.14 deg, d = 1.666 Å, I 46

Atomic structure:
```
MgSi2
1.0
4.821 -2.237 0.000
4.821 2.237 0.000
-1.884 0.000 9.979
Mg Si
4 8
Cartesian
-0.153 0.000 3.537 Mg
3.511 0.000 1.421 Mg
4.246 0.000 8.557 Mg
7.910 0.000 6.441 Mg
0.674 0.000 0.961 Si
1.158 0.000 6.162 Si
1.373 0.000 8.552 Si
2.814 0.000 4.288 Si
4.943 0.000 5.691 Si
6.384 0.000 1.427 Si
6.599 0.000 3.816 Si
7.083 0.000 9.018 Si
```

***

The following is a theoretical powder diffraction line list of KHo2CuS4. It was derived from a structure optimized by DFT (PBE), using Cu Kα, 1.54184 Å.

Peak list (6 most intense, 2θ = 5–70°, by angle)
14.65 deg, d = 6.045 Å, I 93
23.53 deg, d = 3.780 Å, I 93
32.94 deg, d = 2.719 Å, I 100
35.37 deg, d = 2.537 Å, I 53
45.03 deg, d = 2.013 Å, I 43
45.35 deg, d = 2.000 Å, I 62

Atomic structure:
```
KHo2CuS4
1.0
1.971 -6.737 0.000
1.971 6.737 0.000
0.000 0.000 13.695
K Ho Cu S
2 4 2 8
Cartesian
1.971 5.259 10.271 K
1.971 -5.259 3.424 K
1.971 1.808 7.715 Ho
1.971 1.808 12.828 Ho
1.971 -1.808 0.867 Ho
1.971 -1.808 5.980 Ho
1.971 4.542 3.424 Cu
1.971 -4.542 10.271 Cu
0.000 0.000 0.000 S
0.000 0.000 6.848 S
1.971 3.198 1.511 S
1.971 3.198 5.336 S
1.971 0.928 10.271 S
1.971 -0.928 3.424 S
1.971 -3.198 8.359 S
1.971 -3.198 12.184 S
```

***

The following is a theoretical powder diffraction line list of NpO2. It was derived from a structure optimized by DFT (PBE), using Cu Kα, 1.54184 Å.

Peak list (6 most intense, 2θ = 5–70°, by angle)
28.66 deg, d = 3.115 Å, I 100
33.21 deg, d = 2.697 Å, I 37
47.68 deg, d = 1.907 Å, I 49
56.58 deg, d = 1.627 Å, I 47
59.34 deg, d = 1.557 Å, I 11
69.73 deg, d = 1.349 Å, I 8

Atomic structure:
```
NpO2
1.0
0.000 2.697 2.697
2.697 0.000 2.697
2.697 2.697 0.000
Np O
1 2
Cartesian
0.000 0.000 0.000 Np
1.349 1.349 1.349 O
4.046 4.046 4.046 O
```